# 1
This entry pairs a crystal structure of PrAl10Fe2 with its theoretical X-ray diffraction stick pattern. Radiation: Cu Ka. Structure: a crystal structure in the Materials Project, relaxed with PBE.

Top 10 peaks for 2θ from 10° to 90°, in order of rising 2θ:
hkl, 2theta, Rel. int.
1 1 0, 13.0, 278
1 1 1, 16.2, 300
2 0 2, 27.7, 384
2 2 1, 28.0, 341
0 2 3, 34.2, 397
3 1 2, 36.7, 356
0 0 4, 39.5, 309
4 0 0, 39.7, 1000
0 4 2, 40.2, 889
0 4 6, 72.1, 255

Lattice parameters (Å, degrees): 9.0732 10.2982 9.1263 90.00 90.00 90.00
Space group Cmcm (No. 63)
Symmetry-distinct sites (fractional):
Pr  0.0000  0.1238  0.2500
Al  0.0000  0.1597  0.5980
Al  0.0000  0.3751  0.0467
Al  0.1492  0.3708  0.7500
Al  0.2264  0.3600  0.2500
Al  0.2293  0.0000  0.0000
Fe  0.2500  0.2500  0.0000

=====

# 2
This entry pairs a crystal structure of Pr6Al3Fe11 with its theoretical X-ray diffraction stick pattern. Radiation: Cu Ka. Structure: a crystal structure in the Materials Project, relaxed with PBE.

Top 10 peaks for 2θ from 10° to 90°, in order of rising 2θ:
hkl, 2theta, Rel. int.
2 1 3, 27.1, 807
2 2 0, 31.2, 1000
3 1 0, 35.1, 685
2 1 7, 36.5, 284
2 0 8, 37.9, 558
0 0 10, 38.4, 630
2 1 9, 42.7, 358
4 1 1, 46.4, 432
4 2 0, 50.4, 466
3 3 8, 57.6, 293

Lattice parameters (Å, degrees): 8.0943 8.0943 23.4716 90.00 90.00 90.00
Space group I4cm (No. 108)
Symmetry-distinct sites (fractional):
Pr  0.0000  0.0000  0.0000
Pr  0.0000  0.0000  0.2116
Pr  0.1661  0.3339  0.4204
Pr  0.1684  0.3316  0.7968
Al  0.0000  0.0000  0.3560
Al  0.1185  0.3815  0.1985
Fe  0.0000  0.5000  0.1045
Fe  0.0684  0.2108  0.1048
Fe  0.1126  0.3874  0.0124
Fe  0.1758  0.3242  0.6613
Fe  0.1792  0.3208  0.5472

=====

# 3
This entry pairs a crystal structure of Pr2Al2Fe15 with its theoretical X-ray diffraction stick pattern. Radiation: Cu Ka. Structure: a crystal structure in the Materials Project, relaxed with PBE.

Top 10 peaks for 2θ from 10° to 90°, in order of rising 2θ:
hkl, 2theta, Rel. int.
1 1 3, 29.8, 394
3 0 0, 36.5, 295
0 2 4, 37.4, 257
2 2 0, 42.3, 543
3 0 3, 42.5, 1000
0 0 6, 42.9, 374
2 1 4, 43.2, 172
2 2 3, 47.8, 231
1 4 3, 61.5, 174
2 2 6, 61.8, 205

Lattice parameters (Å, degrees): 8.5373 8.5373 12.6621 90.00 90.00 120.00
Space group R-3m (No. 166, hexagonal axes)
Symmetry-distinct sites (fractional):
Pr  0.0000  0.0000  0.1518
Al  0.0000  0.0000  0.3983
Fe  0.0000  0.2875  0.5000
Fe  0.0000  0.5000  0.0000
Fe  0.0031  0.5016  0.3415